This entry pairs a crystal structure of NbPb with its calculated powder diffractogram. Radiation: λ = 1.5418 Å (Cu Kα). Structure: the PBE geometry in Alexandria.
Kinematic intensities with the Lorentz-polarization factor, no thermal factor.

Atomic structure:
Cell: 3.2079 4.8713 5.9250 Å, 90.00 104.44 90.00°
Space group P2_1/m (No. 11)
One atom of each set of equivalent atoms:
Nb1 0.1617 0.2500 0.1203 [2 per cell]
Pb1 0.3269 0.2500 0.6612 [2 per cell]

Largest 12 diffraction maxima, sorted by position, 2θ from 15° to 90°:
2θ 23.96, rel. 39
2θ 34.23, rel. 97
2θ 34.52, rel. 32
2θ 36.15, rel. 21
2θ 36.34, rel. 94
2θ 36.94, rel. 100
2θ 52.62, rel. 15
2θ 53.23, rel. 34
2θ 63.52, rel. 12
2θ 64.78, rel. 16
2θ 66.12, rel. 20
2θ 67.54, rel. 15

This entry pairs a crystal structure of NaGa3Te5 with its calculated powder diffractogram. Radiation: λ = 1.5418 Å (Cu Kα). Structure: the PBE geometry in Alexandria.
Kinematic intensities with the Lorentz-polarization factor, no thermal factor.

Atomic structure:
Cell: 14.9496 14.9496 18.0725 Å, 90.00 90.00 120.00°
Space group R32 (No. 155, hexagonal axes)
One atom of each set of equivalent atoms:
Na1 0.0000 0.0000 0.0000 [3 per cell]
Na2 0.0000 0.7432 0.5000 [9 per cell]
Ga1 0.0042 0.4129 0.7481 [18 per cell]
Ga2 0.0751 0.1898 0.2631 [18 per cell]
Te1 0.0000 0.0000 0.3270 [6 per cell]
Te2 0.0000 0.1730 0.5000 [9 per cell]
Te3 0.0000 0.5768 0.0000 [9 per cell]
Te4 0.0345 0.4655 0.3956 [18 per cell]
Te5 0.0651 0.8731 0.1221 [18 per cell]

Largest 12 diffraction maxima, sorted by position, 2θ from 15° to 90°:
2θ 25.29, rel. 100
2θ 25.39, rel. 32
2θ 25.59, rel. 52
2θ 26.71, rel. 27
2θ 26.86, rel. 38
2θ 28.05, rel. 82
2θ 28.28, rel. 17
2θ 32.04, rel. 24
2θ 43.67, rel. 56
2θ 43.94, rel. 30
2θ 46.29, rel. 46
2θ 47.55, rel. 18

This entry pairs a crystal structure of Ce3PuBi with its calculated powder diffractogram. Radiation: λ = 1.5418 Å (Cu Kα). Structure: the PBE geometry in Alexandria.
Kinematic intensities with the Lorentz-polarization factor, no thermal factor.

Atomic structure:
Cell: 7.0697 6.8138 12.0213 Å, 90.00 109.80 90.00°
Space group P2_1/c (No. 14)
One atom of each set of equivalent atoms:
Ce1 0.1483 0.2280 0.4731 [4 per cell]
Ce2 0.2297 0.0210 0.2598 [4 per cell]
Ce3 0.3125 0.6532 0.5185 [4 per cell]
Pu1 0.4985 0.6217 0.9348 [4 per cell]
Bi1 0.2694 0.5279 0.2392 [4 per cell]

Largest 12 diffraction maxima, sorted by position, 2θ from 15° to 90°:
2θ 15.18, rel. 28
2θ 26.10, rel. 32
2θ 29.29, rel. 28
2θ 30.64, rel. 100
2θ 31.64, rel. 58
2θ 33.95, rel. 49
2θ 34.99, rel. 46
2θ 35.51, rel. 34
2θ 35.66, rel. 28
2θ 37.27, rel. 46
2θ 38.10, rel. 28
2θ 40.92, rel. 29

This entry pairs a crystal structure of Ca5La with its calculated powder diffractogram. Radiation: λ = 1.5418 Å (Cu Kα). Structure: the PBE geometry in Alexandria.
Kinematic intensities with the Lorentz-polarization factor, no thermal factor.

Atomic structure:
Cell: 14.4628 3.8179 9.2805 Å, 90.00 105.48 90.00°
Space group Cm (No. 8)
One atom of each set of equivalent atoms:
Ca1 0.0000 0.0000 0.0000 [2 per cell]
Ca2 0.0572 0.0000 0.6206 [2 per cell]
Ca3 0.1659 0.5000 0.3390 [2 per cell]
Ca4 0.2269 0.5000 0.9458 [2 per cell]
Ca5 0.3898 0.0000 0.2877 [2 per cell]
La1 0.3333 0.0000 0.6683 [2 per cell]

Largest 12 diffraction maxima, sorted by position, 2θ from 15° to 90°:
2θ 25.52, rel. 10
2θ 26.40, rel. 12
2θ 26.83, rel. 28
2θ 27.95, rel. 39
2θ 29.94, rel. 53
2θ 30.32, rel. 100
2θ 39.12, rel. 20
2θ 46.85, rel. 18
2θ 50.95, rel. 21
2θ 55.36, rel. 14
2θ 55.51, rel. 10
2θ 57.29, rel. 15